[1]
Calculated X-ray powder pattern of Li3SbP2O8 for Cu Ka, from the GGA-PBE geometry in the Materials Project.
Neutral-atom scattering factors, no anomalous dispersion.

Top 8 peaks for 10° ≤ 2θ ≤ 80°, low angle first:
(0 0 1), 2θ = 12.24°, rel. 52
(1 1 0), 2θ = 20.31°, rel. 24
(2 -1 1), 2θ = 23.78°, rel. 100
(2 -1 2), 2θ = 32.12°, rel. 46
(3 0 0), 2θ = 35.55°, rel. 25
(0 3 1), 2θ = 37.74°, rel. 32
(2 2 1), 2θ = 43.22°, rel. 17
(2 2 2), 2θ = 48.67°, rel. 21

```
data_Li3SbP2O8
_chemical_formula_sum 'Li9 Sb3 P6 O24'
_space_group_name_H-M_alt 'P -3'
_space_group_IT_number 147
_cell_length_a 8.7468
_cell_length_b 8.7468
_cell_length_c 7.2299
_cell_angle_alpha 90.00
_cell_angle_beta 90.00
_cell_angle_gamma 120.00
loop_
_space_group_symop_operation_xyz
'x,y,z'
'-x,-y,-z'
'-y,x-y,z'
'y,-x+y,-z'
'-x+y,-x,z'
'x-y,x,-z'
loop_
_atom_site_label
_atom_site_fract_x
_atom_site_fract_y
_atom_site_fract_z
Li1 0.0000 0.0000 0.0000
Li2 0.0519 0.6872 0.8417
Li3 0.3333 0.6667 0.0242
Sb1 0.0000 0.0000 0.5000
Sb2 0.3333 0.6667 0.5455
P1 0.0248 0.6888 0.2574
O1 0.0711 0.2029 0.7668
O2 0.1189 0.7348 0.4466
O3 0.1216 0.5155 0.7548
O4 0.1563 0.7298 0.0972
```

=====

[2]
Calculated X-ray powder pattern of LiMg14TiO16 for Cu Ka, from the GGA-PBE geometry in the Materials Project.
Neutral-atom scattering factors, no anomalous dispersion.

Top 8 peaks for 10° ≤ 2θ ≤ 80°, low angle first:
(1 0 0), 2θ = 10.36°, rel. 11
(3 0 0), 2θ = 31.51°, rel. 9
(2 2 1), 2θ = 36.54°, rel. 15
(4 0 0), 2θ = 42.35°, rel. 100
(0 0 2), 2θ = 42.63°, rel. 50
(4 4 0), 2θ = 61.45°, rel. 28
(4 0 2), 2θ = 61.65°, rel. 55
(4 4 2), 2θ = 77.66°, rel. 25

```
data_LiMg14TiO16
_chemical_formula_sum 'Li1 Mg14 Ti1 O16'
_space_group_name_H-M_alt 'P 4/m m m'
_space_group_IT_number 123
_space_group_name_Hall '-P 4 2'
_cell_length_a 8.5361
_cell_length_b 8.5361
_cell_length_c 4.2421
_cell_angle_alpha 90.00
_cell_angle_beta 90.00
_cell_angle_gamma 90.00
loop_
_atom_site_label
_atom_site_fract_x
_atom_site_fract_y
_atom_site_fract_z
Li1 0.0000 0.0000 0.0000
Mg1 0.0000 0.2424 0.5000
Mg2 0.0000 0.5000 0.0000
Mg3 0.2419 0.2419 0.0000
Mg4 0.2441 0.5000 0.5000
Ti1 0.5000 0.5000 0.0000
O1 0.0000 0.0000 0.5000
O2 0.0000 0.2597 0.0000
O3 0.0000 0.5000 0.5000
O4 0.2519 0.2519 0.5000
O5 0.2575 0.5000 0.0000
O6 0.5000 0.5000 0.5000
```

=====

[3]
Calculated X-ray powder pattern of In7GeIrO8 for Cu Ka, from the GGA-PBE geometry in the Materials Project.
Neutral-atom scattering factors, no anomalous dispersion.

Top 8 peaks for 10° ≤ 2θ ≤ 80°, low angle first:
(1 1 1), 2θ = 14.89°, rel. 24
(2 0 0), 2θ = 17.21°, rel. 23
(3 1 1), 2θ = 28.73°, rel. 38
(2 2 2), 2θ = 30.04°, rel. 100
(4 0 0), 2θ = 34.82°, rel. 93
(4 4 0), 2θ = 50.07°, rel. 98
(6 2 2), 2θ = 59.50°, rel. 40
(4 4 4), 2θ = 62.43°, rel. 24

```
data_In7GeIrO8
_chemical_formula_sum 'In28 Ge4 Ir4 O32'
_space_group_name_H-M_alt 'F -4 3 m'
_space_group_IT_number 216
_space_group_name_Hall 'F -4 2 3'
_cell_length_a 10.3060
_cell_length_b 10.3060
_cell_length_c 10.3060
_cell_angle_alpha 90.00
_cell_angle_beta 90.00
_cell_angle_gamma 90.00
loop_
_atom_site_label
_atom_site_fract_x
_atom_site_fract_y
_atom_site_fract_z
In1 0.0000 0.0000 0.0000
In2 0.0000 0.2500 0.2500
Ge1 0.0000 0.0000 0.5000
Ir1 0.2500 0.2500 0.7500
O1 0.1010 0.1010 0.3990
O2 0.1203 0.1203 0.1203
```

=====

[4]
Calculated X-ray powder pattern of NbNO for Cu Ka, from the GGA-PBE geometry in the Materials Project.
Neutral-atom scattering factors, no anomalous dispersion.

Top 8 peaks for 10° ≤ 2θ ≤ 80°, low angle first:
(1 1 -1), 2θ = 28.63°, rel. 100
(1 1 1), 2θ = 32.20°, rel. 73
(0 0 2), 2θ = 34.58°, rel. 28
(2 0 0), 2θ = 36.15°, rel. 18
(2 1 -1), 2θ = 41.48°, rel. 20
(0 2 2), 2θ = 50.19°, rel. 19
(2 2 0), 2θ = 51.38°, rel. 29
(2 0 2), 2θ = 55.40°, rel. 17

```
data_NbNO
_chemical_formula_sum 'Nb4 N4 O4'
_space_group_name_H-M_alt 'P 1 21/c 1'
_space_group_IT_number 14
_cell_length_a 5.0464
_cell_length_b 5.0955
_cell_length_c 5.2653
_cell_angle_alpha 90.00
_cell_angle_beta 99.84
_cell_angle_gamma 90.00
loop_
_space_group_symop_operation_xyz
'x,y,z'
'-x,-y,-z'
'-x,y+1/2,-z+1/2'
'x,-y+1/2,z+1/2'
loop_
_atom_site_label
_atom_site_fract_x
_atom_site_fract_y
_atom_site_fract_z
Nb1 0.2064 0.0489 0.2797
N1 0.0564 0.7454 0.5249
O1 0.4386 0.1777 0.6500
```

=====

[5]
Calculated X-ray powder pattern of GdBi4O8 for Cu Ka, from the GGA-PBE geometry in the Materials Project.
Neutral-atom scattering factors, no anomalous dispersion.

Top 8 peaks for 10° ≤ 2θ ≤ 80°, low angle first:
(4 0 -1), 2θ = 26.95°, rel. 57
(2 0 -3), 2θ = 27.09°, rel. 50
(1 1 1), 2θ = 28.55°, rel. 100
(2 0 2), 2θ = 31.82°, rel. 23
(3 1 -2), 2θ = 32.40°, rel. 53
(5 1 0), 2θ = 45.96°, rel. 30
(1 1 -4), 2θ = 46.14°, rel. 28
(4 2 -1), 2θ = 56.31°, rel. 29

```
data_GdBi4O8
_chemical_formula_sum 'Gd2 Bi8 O16'
_space_group_name_H-M_alt 'C 1 m 1'
_space_group_IT_number 8
_cell_length_a 13.4848
_cell_length_b 3.7604
_cell_length_c 9.8768
_cell_angle_alpha 90.00
_cell_angle_beta 120.63
_cell_angle_gamma 90.00
loop_
_space_group_symop_operation_xyz
'x,y,z'
'x,-y,z'
'x+1/2,y+1/2,z'
'x+1/2,-y+1/2,z'
loop_
_atom_site_label
_atom_site_fract_x
_atom_site_fract_y
_atom_site_fract_z
Gd1 0.0000 0.0000 0.0000
Bi1 0.0526 0.5000 0.3683
Bi2 0.1697 0.0000 0.7553
Bi3 0.2754 0.5000 0.1880
Bi4 0.3858 0.0000 0.6263
O1 0.0761 0.5000 0.6393
O2 0.1033 0.5000 0.1728
O3 0.1726 0.0000 0.5142
O4 0.1928 0.0000 0.0286
O5 0.3518 0.0000 0.3472
O6 0.3849 0.0000 0.8640
O7 0.4396 0.5000 0.1844
O8 0.4796 0.5000 0.7434
```

=====

[6]
Calculated X-ray powder pattern of Li3Ga14 for Cu Ka, from the GGA-PBE geometry in the Materials Project.
Neutral-atom scattering factors, no anomalous dispersion.

Top 8 peaks for 10° ≤ 2θ ≤ 80°, low angle first:
(0 1 2), 2θ = 16.07°, rel. 42
(1 0 4), 2θ = 24.45°, rel. 68
(0 2 1), 2θ = 24.90°, rel. 100
(0 3 3), 2θ = 40.33°, rel. 37
(1 2 5), 2θ = 42.33°, rel. 58
(1 3 1), 2θ = 44.97°, rel. 38
(0 2 7), 2θ = 45.20°, rel. 39
(3 1 2), 2θ = 45.96°, rel. 58

```
data_Li3Ga14
_chemical_formula_sum 'Li9 Ga42'
_space_group_name_H-M_alt 'R 3 m'
_space_group_IT_number 160
_space_group_name_Hall 'R 3 -2"'
_cell_length_a 8.4511
_cell_length_b 8.4511
_cell_length_c 16.7896
_cell_angle_alpha 90.00
_cell_angle_beta 90.00
_cell_angle_gamma 120.00
loop_
_atom_site_label
_atom_site_fract_x
_atom_site_fract_y
_atom_site_fract_z
Li1 0.1799 0.3598 0.0000
Ga1 0.0000 0.0000 0.1356
Ga2 0.0000 0.0000 0.9810
Ga3 0.0196 0.5098 0.8639
Ga4 0.1059 0.2118 0.4475
Ga5 0.1733 0.3466 0.5894
Ga6 0.2084 0.1042 0.6771
```